[1]
For CaAlF5, a structure optimized by DFT (PBE) gives the simulated powder X-ray diffraction pattern in this record (Cu Kα X-rays).
Neutral-atom scattering factors, no anomalous dispersion.

Structure:
```
data_CaAlF5
_chemical_formula_sum 'Ca4 Al4 F20'
_symmetry_space_group_name_H-M 'P 1 21/c 1'
_symmetry_Int_Tables_number 14
_cell_length_a 5.420
_cell_length_b 9.970
_cell_length_c 7.422
_cell_angle_alpha 90.00
_cell_angle_beta 109.90
_cell_angle_gamma 90.00
loop_
_symmetry_equiv_pos_as_xyz
'x,y,z'
'-x,-y,-z'
'-x,y+1/2,-z+1/2'
'x,-y+1/2,z+1/2'
loop_
_atom_site_label
_atom_site_type_symbol
_atom_site_fract_x
_atom_site_fract_y
_atom_site_fract_z
Ca1 Ca 0.027 0.018 0.254
Al1 Al 0.398 0.247 0.600
F1 F 0.126 0.124 0.555
F2 F 0.152 0.119 0.012
F3 F 0.343 0.636 0.359
F4 F 0.365 0.216 0.341
F5 F 0.380 0.612 0.818
```

Top 6 peaks for 2θ from 10° to 80°, most intense first:
Position (°2θ), intensity
24.99, 100
27.09, 53
51.72, 35
19.56, 34
44.82, 33
31.30, 32


[2]
For DyNiGe, a structure optimized by DFT (PBE) gives the simulated powder X-ray diffraction pattern in this record (Cu Kα X-rays).
Neutral-atom scattering factors, no anomalous dispersion.

Structure:
```
data_DyNiGe
_chemical_formula_sum 'Dy4 Ni4 Ge4'
_symmetry_space_group_name_H-M 'P n m a'
_symmetry_Int_Tables_number 62
_cell_length_a 6.916
_cell_length_b 4.225
_cell_length_c 7.288
_cell_angle_alpha 90.00
_cell_angle_beta 90.00
_cell_angle_gamma 90.00
loop_
_symmetry_equiv_pos_as_xyz
'x,y,z'
'-x,-y,-z'
'-x+1/2,-y,z+1/2'
'x+1/2,y,-z+1/2'
'x+1/2,-y+1/2,-z+1/2'
'-x+1/2,y+1/2,z+1/2'
'-x,y+1/2,-z'
'x,-y+1/2,z'
loop_
_atom_site_label
_atom_site_type_symbol
_atom_site_fract_x
_atom_site_fract_y
_atom_site_fract_z
Dy1 Dy 0.007 0.250 0.206
Ni1 Ni 0.194 0.750 0.416
Ge1 Ge 0.196 0.250 0.588
```

Top 6 peaks for 2θ from 10° to 80°, most intense first:
Position (°2θ), intensity
35.76, 100
42.94, 30
35.01, 28
42.81, 22
24.37, 19
56.99, 15


[3]
For Na4PuH7O9, a structure optimized by DFT (PBE) gives the simulated powder X-ray diffraction pattern in this record (Cu Kα X-rays).
Neutral-atom scattering factors, no anomalous dispersion.

Structure:
```
data_Na4PuH7O9
_chemical_formula_sum 'Na8 Pu2 H14 O18'
_symmetry_space_group_name_H-M 'P -1'
_symmetry_Int_Tables_number 2
_cell_length_a 6.045
_cell_length_b 8.168
_cell_length_c 11.033
_cell_angle_alpha 104.49
_cell_angle_beta 101.59
_cell_angle_gamma 105.61
loop_
_symmetry_equiv_pos_as_xyz
'x,y,z'
'-x,-y,-z'
loop_
_atom_site_label
_atom_site_type_symbol
_atom_site_fract_x
_atom_site_fract_y
_atom_site_fract_z
Na1 Na 0.023 0.219 0.093
Na2 Na 0.115 0.350 0.423
Na3 Na 0.292 0.036 0.585
Na4 Na 0.443 0.158 0.923
Pu1 Pu 0.135 0.913 0.249
H1 H 0.069 0.323 0.628
H2 H 0.208 0.516 0.895
H3 H 0.258 0.612 0.789
H4 H 0.323 0.569 0.269
H5 H 0.340 0.679 0.621
H6 H 0.417 0.140 0.150
H7 H 0.487 0.456 0.310
O1 O 0.006 0.192 0.595
O2 O 0.078 0.949 0.747
O3 O 0.106 0.275 0.894
O4 O 0.255 0.574 0.641
O5 O 0.262 0.636 0.886
O6 O 0.285 0.031 0.096
O7 O 0.314 0.453 0.283
O8 O 0.349 0.778 0.242
O9 O 0.377 0.104 0.388
```

Top 6 peaks for 2θ from 10° to 80°, most intense first:
Position (°2θ), intensity
11.88, 100
17.34, 41
22.63, 37
18.86, 33
18.16, 32
15.89, 31


[4]
For Tb2MgNb2O8, a structure optimized by DFT (PBE) gives the simulated powder X-ray diffraction pattern in this record (Cu Kα X-rays).
Neutral-atom scattering factors, no anomalous dispersion.

Structure:
```
data_Tb2MgNb2O8
_chemical_formula_sum 'Tb4 Mg2 Nb4 O16'
_symmetry_space_group_name_H-M 'C 1 2 1'
_symmetry_Int_Tables_number 5
_cell_length_a 7.025
_cell_length_b 9.541
_cell_length_c 6.214
_cell_angle_alpha 90.00
_cell_angle_beta 119.09
_cell_angle_gamma 90.00
loop_
_symmetry_equiv_pos_as_xyz
'x,y,z'
'-x,y,-z'
'x+1/2,y+1/2,z'
'-x+1/2,y+1/2,-z'
loop_
_atom_site_label
_atom_site_type_symbol
_atom_site_fract_x
_atom_site_fract_y
_atom_site_fract_z
Tb1 Tb 0.000 0.000 0.000
Tb2 Tb 0.000 0.278 0.500
Mg1 Mg 0.000 0.975 0.500
Nb1 Nb 0.000 0.537 0.000
Nb2 Nb 0.000 0.672 0.500
O1 O 0.062 0.832 0.313
O2 O 0.068 0.467 0.749
O3 O 0.182 0.147 0.329
O4 O 0.201 0.094 0.789
```

Top 6 peaks for 2θ from 10° to 80°, most intense first:
Position (°2θ), intensity
24.84, 100
31.69, 92
29.09, 49
40.62, 28
44.61, 24
32.99, 23


[5]
For Ba2UCo, a structure optimized by DFT (PBE) gives the simulated powder X-ray diffraction pattern in this record (Cu Kα X-rays).
Neutral-atom scattering factors, no anomalous dispersion.

Structure:
```
data_Ba2UCo
_chemical_formula_sum 'Ba8 U4 Co4'
_symmetry_space_group_name_H-M 'F m -3 m'
_symmetry_Int_Tables_number 225
_symmetry_space_group_name_Hall '-F 4 2 3'
_cell_length_a 7.782
_cell_length_b 7.782
_cell_length_c 7.782
_cell_angle_alpha 90.00
_cell_angle_beta 90.00
_cell_angle_gamma 90.00
loop_
_atom_site_label
_atom_site_type_symbol
_atom_site_fract_x
_atom_site_fract_y
_atom_site_fract_z
Ba1 Ba 0.250 0.250 0.250
U1 U 0.000 0.000 0.000
Co1 Co 0.000 0.000 0.500
```

Top 6 peaks for 2θ from 10° to 80°, most intense first:
Position (°2θ), intensity
32.54, 100
58.06, 38
19.76, 19
46.69, 18
77.59, 17
68.16, 12


[6]
For WN2, a structure optimized by DFT (PBE) gives the simulated powder X-ray diffraction pattern in this record (Cu Kα X-rays).
Neutral-atom scattering factors, no anomalous dispersion.

Structure:
```
data_WN2
_chemical_formula_sum 'W3 N6'
_symmetry_space_group_name_H-M 'R -3 m'
_symmetry_Int_Tables_number 166
_symmetry_space_group_name_Hall '-R 3 2"'
_cell_length_a 3.3194
_cell_length_b 3.3194
_cell_length_c 9.4166
_cell_angle_alpha 90.00
_cell_angle_beta 90.00
_cell_angle_gamma 120.00
loop_
_atom_site_label
_atom_site_type_symbol
_atom_site_fract_x
_atom_site_fract_y
_atom_site_fract_z
W1 W 0.0000 0.0000 0.0000
N1 N 0.0000 0.0000 0.2405
```

Top 6 peaks for 2θ from 10° to 80°, most intense first:
Position (°2θ), intensity
32.57, 100
36.63, 52
28.44, 44
50.08, 38
63.39, 28
55.35, 28